# ErHf3
Theoretical powder diffraction line list, copper Kα. Input: a DFT-relaxed cell (PBE, Alexandria).

Most intense lines, 2θ = 15–90°, sorted by position:
Position (°2θ)	intensity	h k l
31.45	11.7	0 0 2
31.63	24.6	1 0 1
34.83	37.2	0 4 0
36.07	51.6	0 2 2
36.22	100.0	1 2 1
47.75	15.8	1 4 1
56.11	19.3	1 0 3
63.25	10.1	0 6 2
63.36	19.7	1 6 1
67.76	21.8	1 4 3
68.05	10.8	2 4 0
68.83	15.9	2 2 2

Cell and atoms:
Unit cell a=3.261 b=10.304 c=5.688 alpha=90.00 beta=90.00 gamma=90.00
Fractional positions:
Er (0.000, 0.000, 0.000)
Er (0.500, 0.500, 0.500)
Hf (0.000, 0.246, 0.667)
Hf (0.000, 0.500, 0.997)
Hf (0.000, 0.754, 0.667)
Hf (0.500, 0.000, 0.497)
Hf (0.500, 0.254, 0.167)
Hf (0.500, 0.746, 0.167)